Starting from a PBE-relaxed structure, the X-ray powder pattern of Y10Mn13C18 was computed for Cu Kα, 1.54184 Å.
Lines closer than 0.1° are merged.

Largest 10 diffraction maxima, in order of falling intensity, 10 to 90 degrees two-theta:
30.7 deg, I = 100; 33.2 deg, I = 90; 37.8 deg, I = 84; 35.6 deg, I = 79; 56.2 deg, I = 47; 42.0 deg, I = 41; 68.3 deg, I = 39; 49.4 deg, I = 30; 51.2 deg, I = 23; 52.9 deg, I = 23

Crystal structure
Unit cell a=8.7439 b=8.7439 c=8.7439 alpha=109.47 beta=109.47 gamma=109.47
Element x y z (fractional)
Y  0.0000  0.0000  0.4109
Y  0.0000  0.4109  0.0000
Y  0.2500  0.5000  0.7500
Y  0.2500  0.7500  0.5000
Y  0.4109  0.0000  0.0000
Y  0.5000  0.2500  0.7500
Y  0.5000  0.7500  0.2500
Y  0.5891  0.5891  0.5891
Y  0.7500  0.2500  0.5000
Y  0.7500  0.5000  0.2500
Mn  0.0000  0.0000  0.0000
Mn  0.0000  0.6673  0.8200
Mn  0.0000  0.8200  0.6673
Mn  0.1527  0.3327  0.3327
Mn  0.1800  0.1800  0.8473
Mn  0.1800  0.8473  0.1800
Mn  0.3327  0.1527  0.3327
Mn  0.3327  0.3327  0.1527
Mn  0.6673  0.0000  0.8200
Mn  0.6673  0.8200  0.0000
Mn  0.8200  0.0000  0.6673
Mn  0.8200  0.6673  0.0000
Mn  0.8473  0.1800  0.1800
C  0.0000  0.2191  0.7057
C  0.0000  0.4314  0.4314
C  0.0000  0.5686  0.5686
C  0.0000  0.7057  0.2191
C  0.2191  0.0000  0.7057
C  0.2191  0.7057  0.0000
C  0.2943  0.2943  0.5135
C  0.2943  0.5135  0.2943
C  0.4314  0.0000  0.4314
C  0.4314  0.4314  0.0000
C  0.4865  0.7809  0.7809
C  0.5135  0.2943  0.2943
C  0.5686  0.0000  0.5686
C  0.5686  0.5686  0.0000
C  0.7057  0.0000  0.2191
C  0.7057  0.2191  0.0000
C  0.7809  0.4865  0.7809
C  0.7809  0.7809  0.4865